Na2GaAu: theoretical powder XRD pattern (CuKα), based on the PBE geometry in Alexandria.

Crystal structure
```
data_Na2GaAu
_chemical_formula_sum 'Na8 Ga4 Au4'
_cell_length_a 9.2912
_cell_length_b 7.4680
_cell_length_c 5.3163
_cell_angle_alpha 90.00
_cell_angle_beta 90.00
_cell_angle_gamma 90.00
_space_group_name_H-M_alt 'C m c m'
_space_group_IT_number 63
_space_group_name_Hall '-C 2c 2'
loop_
_atom_site_label
_atom_site_type_symbol
_atom_site_fract_x
_atom_site_fract_y
_atom_site_fract_z
Na1 Na 0.1801 0.1478 0.2500
Ga1 Ga 0.0000 0.5000 0.0000
Au1 Au 0.0000 0.1927 0.7500
```

Top 10 peaks for 2θ from 10° to 90°, low angle first:
2θ/deg, I_rel, hkl
19.10, 76, 2 0 0
22.65, 100, 1 1 1
35.15, 31, 2 2 1
35.64, 57, 3 1 1
37.18, 25, 1 1 2
37.40, 36, 1 3 0
38.77, 16, 4 0 0
41.71, 21, 0 2 2
46.26, 25, 2 2 2
55.82, 14, 2 4 1

---

Na4Ga5Au6: theoretical powder XRD pattern (CuKα), based on the PBE geometry in Alexandria.

Crystal structure
```
data_Na4Ga5Au6
_chemical_formula_sum 'Na16 Ga20 Au24'
_cell_length_a 4.5328
_cell_length_b 19.5027
_cell_length_c 14.0205
_cell_angle_alpha 90.00
_cell_angle_beta 90.00
_cell_angle_gamma 90.00
_space_group_name_H-M_alt 'C m c 21'
_space_group_IT_number 36
loop_
_space_group_symop_operation_xyz
'x,y,z'
'-x,-y,z+1/2'
'-x,y,z'
'x,-y,z+1/2'
'x+1/2,y+1/2,z'
'-x+1/2,-y+1/2,z+1/2'
'-x+1/2,y+1/2,z'
'x+1/2,-y+1/2,z+1/2'
loop_
_atom_site_label
_atom_site_type_symbol
_atom_site_fract_x
_atom_site_fract_y
_atom_site_fract_z
Na1 Na 0.0000 0.0499 0.0000
Na2 Na 0.0000 0.0707 0.2841
Na3 Na 0.0000 0.1244 0.7814
Na4 Na 0.0000 0.1963 0.4822
Ga1 Ga 0.0000 0.1988 0.1241
Ga2 Ga 0.0000 0.3129 0.8035
Ga3 Ga 0.0000 0.3472 0.1211
Ga4 Ga 0.0000 0.3547 0.4398
Ga5 Ga 0.0000 0.4902 0.1573
Au1 Au 0.0000 0.0758 0.5986
Au2 Au 0.0000 0.2146 0.9403
Au3 Au 0.0000 0.2630 0.2864
Au4 Au 0.0000 0.3747 0.6321
Au5 Au 0.0000 0.4044 0.9451
Au6 Au 0.0000 0.4704 0.3448
```

Top 10 peaks for 2θ from 10° to 90°, low angle first:
2θ/deg, I_rel, hkl
19.27, 62, 0 4 1
20.11, 61, 1 1 0
22.21, 73, 0 4 2
24.77, 71, 1 3 1
27.80, 78, 1 1 3
32.88, 57, 1 5 2
35.94, 62, 1 5 3
38.52, 56, 0 0 6
39.77, 100, 2 0 0
39.89, 69, 1 5 4

---

Na2Ga3Au17: theoretical powder XRD pattern (CuKα), based on the PBE geometry in Alexandria.

Crystal structure
```
data_Na2Ga3Au17
_chemical_formula_sum 'Na6 Ga9 Au51'
_cell_length_a 10.3491
_cell_length_b 10.3491
_cell_length_c 14.9949
_cell_angle_alpha 90.00
_cell_angle_beta 90.00
_cell_angle_gamma 120.00
_space_group_name_H-M_alt 'R -3 m'
_space_group_IT_number 166
_space_group_name_Hall '-R 3 2"'
loop_
_atom_site_label
_atom_site_type_symbol
_atom_site_fract_x
_atom_site_fract_y
_atom_site_fract_z
Na1 Na 0.0000 0.0000 0.2051
Ga1 Ga 0.0000 0.5000 0.5000
Au1 Au 0.0000 0.0000 0.4031
Au2 Au 0.0000 0.2646 0.5000
Au3 Au 0.0000 0.5000 0.0000
Au4 Au 0.0067 0.5033 0.3318
```

Top 10 peaks for 2θ from 10° to 90°, low angle first:
2θ/deg, I_rel, hkl
11.50, 75, 1 0 1
17.14, 43, 1 1 0
34.67, 70, 2 2 0
34.99, 38, 0 3 3
35.93, 42, 0 0 6
39.21, 100, 2 2 3
40.09, 68, 1 1 6
40.72, 30, 4 0 1
50.81, 23, 2 2 6
73.16, 24, 4 4 0